1.
Structure and calculated powder diffraction line list of PuCu (the PBE geometry in Alexandria; Cu Kα X-rays).
Peak positions follow from Bragg's law for the DFT cell and can differ from measured ones.

Most intense lines, 2θ = 10–90°, low angle first:
2theta, I/Imax
14.53, 99
28.07, 29
34.60, 31
38.15, 100
40.74, 65
42.35, 34

Cell and atoms:
Lattice parameters (Å, degrees): 2.7639 3.7247 6.1180 90.00 94.79 90.00
Fractional positions:
Pu  0.1429  0.2500  0.1025
Pu  0.8571  0.7500  0.8975
Cu  0.2675  0.2500  0.5858
Cu  0.7325  0.7500  0.4142

---

2.
Structure and calculated powder diffraction line list of In5Ag2Hg2 (the PBE geometry in Alexandria; Cu Kα X-rays).
Peak positions follow from Bragg's law for the DFT cell and can differ from measured ones.

Most intense lines, 2θ = 10–90°, low angle first:
2theta, I/Imax
26.97, 38
32.16, 43
34.38, 40
35.96, 96
38.40, 40
39.89, 100

Cell and atoms:
Lattice parameters (Å, degrees): 10.0115 10.0115 10.0115 62.83 137.01 136.48
Fractional positions:
In  0.1533  0.0810  0.2343
In  0.1533  0.4190  0.5723
In  0.2840  0.1099  0.6741
In  0.4199  0.7890  0.9461
In  0.4199  0.9738  0.1308
In  0.4358  0.6099  0.3259
In  0.8430  0.2890  0.8692
In  0.8430  0.4738  0.0539
In  0.8467  0.5810  0.4277
In  0.8467  0.9190  0.7657
Ag  0.3243  0.4238  0.0670
Ag  0.3243  0.7573  0.4005
Ag  0.3568  0.2573  0.9330
Ag  0.3568  0.9238  0.5995
Hg  0.6867  0.1867  0.5000
Hg  0.6867  0.6867  0.0000
Hg  0.8838  0.6573  0.7265
Hg  0.9308  0.1573  0.2735

---

3.
Structure and calculated powder diffraction line list of PaSi4Ir4 (the PBE geometry in Alexandria; Cu Kα X-rays).
Peak positions follow from Bragg's law for the DFT cell and can differ from measured ones.

Most intense lines, 2θ = 10–90°, low angle first:
2theta, I/Imax
26.72, 46
31.83, 39
35.25, 100
36.78, 36
45.41, 25
63.83, 29

Cell and atoms:
Lattice parameters (Å, degrees): 6.0042 6.0042 8.0261 90.00 90.00 90.00
Fractional positions:
Pa  0.2500  0.7500  0.2500
Pa  0.7500  0.2500  0.7500
Si  0.0447  0.2500  0.0732
Si  0.2500  0.0447  0.5732
Si  0.2500  0.4553  0.5732
Si  0.4553  0.2500  0.0732
Si  0.5447  0.7500  0.9268
Si  0.7500  0.5447  0.4268
Si  0.7500  0.9553  0.4268
Si  0.9553  0.7500  0.9268
Ir  0.0220  0.2500  0.3738
Ir  0.2500  0.0220  0.8738
Ir  0.2500  0.4780  0.8738
Ir  0.4780  0.2500  0.3738
Ir  0.5220  0.7500  0.6262
Ir  0.7500  0.5220  0.1262
Ir  0.7500  0.9780  0.1262
Ir  0.9780  0.7500  0.6262

---

4.
Structure and calculated powder diffraction line list of Pr2Cu6Si3 (the PBE geometry in Alexandria; Cu Kα X-rays).
Peak positions follow from Bragg's law for the DFT cell and can differ from measured ones.

Most intense lines, 2θ = 10–90°, low angle first:
2theta, I/Imax
33.04, 100
37.63, 22
42.90, 28
43.99, 42
44.77, 21
72.34, 23

Cell and atoms:
Lattice parameters (Å, degrees): 7.3027 7.3027 4.0484 90.00 90.00 120.00
Fractional positions:
Pr  0.3333  0.6667  0.0000
Pr  0.6667  0.3333  0.0000
Cu  0.0000  0.1944  0.0000
Cu  0.0000  0.7014  0.5000
Cu  0.1944  0.0000  0.0000
Cu  0.2986  0.2986  0.5000
Cu  0.7014  0.0000  0.5000
Cu  0.8056  0.8056  0.0000
Si  0.0000  0.3596  0.5000
Si  0.3596  0.0000  0.5000
Si  0.6404  0.6404  0.5000

---

5.
Structure and calculated powder diffraction line list of CoNiW2 (the PBE geometry in Alexandria; Cu Kα X-rays).
Peak positions follow from Bragg's law for the DFT cell and can differ from measured ones.

Most intense lines, 2θ = 10–90°, low angle first:
2theta, I/Imax
28.36, 47
38.93, 30
42.12, 41
44.35, 58
44.50, 100
78.58, 19

Cell and atoms:
Lattice parameters (Å, degrees): 2.6764 4.2909 4.6299 90.00 90.30 90.00
Fractional positions:
Co  0.0000  0.0000  0.0000
Ni  0.9994  0.5000  0.3294
W  0.4940  0.5000  0.8435
W  0.5042  0.0000  0.4823

---

6.
Structure and calculated powder diffraction line list of CeSmLuTl (the PBE geometry in Alexandria; Cu Kα X-rays).
Peak positions follow from Bragg's law for the DFT cell and can differ from measured ones.

Most intense lines, 2θ = 10–90°, low angle first:
2theta, I/Imax
32.54, 100
46.69, 18
58.07, 39
68.16, 12
77.59, 17
86.68, 4

Cell and atoms:
Lattice parameters (Å, degrees): 5.5028 5.5028 5.5028 60.00 60.00 60.00
Fractional positions:
Ce  0.0000  0.0000  0.0000
Sm  0.5000  0.5000  0.5000
Lu  0.2500  0.2500  0.2500
Tl  0.7500  0.7500  0.7500

---

7.
Structure and calculated powder diffraction line list of K2TaZn2O6 (the PBE geometry in Alexandria; Cu Kα X-rays).
Peak positions follow from Bragg's law for the DFT cell and can differ from measured ones.

Most intense lines, 2θ = 10–90°, low angle first:
2theta, I/Imax
14.05, 100
23.74, 50
28.32, 28
33.30, 58
36.30, 39
44.26, 77

Cell and atoms:
Lattice parameters (Å, degrees): 5.3813 5.3813 6.3037 90.00 90.00 120.00
Fractional positions:
K  0.3333  0.6667  0.0000
K  0.6667  0.3333  0.0000
Ta  0.0000  0.0000  0.5000
Zn  0.3333  0.6667  0.5000
Zn  0.6667  0.3333  0.5000
O  0.0000  0.3159  0.3260
O  0.0000  0.6841  0.6740
O  0.3159  0.0000  0.3260
O  0.3159  0.3159  0.6740
O  0.6841  0.0000  0.6740
O  0.6841  0.6841  0.3260

---

8.
Structure and calculated powder diffraction line list of YPa3Ir4 (the PBE geometry in Alexandria; Cu Kα X-rays).
Peak positions follow from Bragg's law for the DFT cell and can differ from measured ones.

Most intense lines, 2θ = 10–90°, low angle first:
2theta, I/Imax
32.35, 84
33.02, 100
33.20, 88
40.30, 64
40.76, 67
43.57, 50

Cell and atoms:
Lattice parameters (Å, degrees): 7.1508 7.1508 3.7667 104.58 104.58 71.05
Fractional positions:
Y  0.0000  0.0000  0.0000
Pa  0.4731  0.9777  0.7204
Pa  0.5012  0.5012  0.0035
Pa  0.9777  0.4731  0.7204
Ir  0.2264  0.6954  0.4641
Ir  0.2628  0.2628  0.2540
Ir  0.6954  0.2264  0.4641
Ir  0.7614  0.7614  0.2571

---

9.
Structure and calculated powder diffraction line list of LaNd4Se7 (the PBE geometry in Alexandria; Cu Kα X-rays).
Peak positions follow from Bragg's law for the DFT cell and can differ from measured ones.

Most intense lines, 2θ = 10–90°, low angle first:
2theta, I/Imax
21.99, 80
22.53, 81
28.99, 100
30.50, 92
31.48, 70
43.90, 56

Cell and atoms:
Lattice parameters (Å, degrees): 7.2995 7.2995 12.5650 104.09 104.09 32.83
Fractional positions:
La  0.0000  0.0000  0.0000
Nd  0.1129  0.1129  0.4219
Nd  0.2251  0.2251  0.8400
Nd  0.4125  0.4125  0.6096
Nd  0.8128  0.8128  0.2345
Se  0.0701  0.0701  0.6363
Se  0.1558  0.1558  0.2076
Se  0.3693  0.3693  0.0709
Se  0.4534  0.4534  0.3715
Se  0.6140  0.6140  0.9192
Se  0.7726  0.7726  0.4715
Se  0.8522  0.8522  0.7695

---

10.
Structure and calculated powder diffraction line list of Ac8Pd3Rh2 (the PBE geometry in Alexandria; Cu Kα X-rays).
Peak positions follow from Bragg's law for the DFT cell and can differ from measured ones.

Most intense lines, 2θ = 10–90°, low angle first:
2theta, I/Imax
24.81, 61
28.91, 100
29.03, 49
40.92, 60
41.94, 36
50.96, 21

Cell and atoms:
Lattice parameters (Å, degrees): 8.8239 8.8239 7.4076 107.03 107.03 59.97
Fractional positions:
Ac  0.1108  0.6268  0.2359
Ac  0.1236  0.1236  0.2413
Ac  0.3729  0.3729  0.7722
Ac  0.3732  0.8892  0.7641
Ac  0.6268  0.1108  0.2359
Ac  0.6271  0.6271  0.2278
Ac  0.8764  0.8764  0.7587
Ac  0.8892  0.3732  0.7641
Pd  0.0000  0.0000  0.5000
Pd  0.2518  0.7482  0.0000
Pd  0.7482  0.2518  0.0000
Rh  0.2524  0.2524  0.0086
Rh  0.7476  0.7476  0.9914

---

11.
Structure and calculated powder diffraction line list of AcPaZnO5 (the PBE geometry in Alexandria; Cu Kα X-rays).
Peak positions follow from Bragg's law for the DFT cell and can differ from measured ones.

Most intense lines, 2θ = 10–90°, low angle first:
2theta, I/Imax
24.38, 66
26.80, 48
30.15, 100
33.25, 21
33.75, 19
49.46, 29

Cell and atoms:
Lattice parameters (Å, degrees): 6.1391 6.1391 7.9824 103.04 103.04 108.11
Fractional positions:
Ac  0.1632  0.8368  0.7500
Ac  0.8368  0.1632  0.2500
Pa  0.5000  0.5000  0.0000
Pa  0.5000  0.5000  0.5000
Zn  0.1827  0.8173  0.2500
Zn  0.8173  0.1827  0.7500
O  0.1390  0.2318  0.9174
O  0.1860  0.5914  0.3933
O  0.2318  0.1390  0.4174
O  0.4086  0.8140  0.1067
O  0.4121  0.5879  0.7500
O  0.5879  0.4121  0.2500
O  0.5914  0.1860  0.8933
O  0.7682  0.8610  0.5826
O  0.8140  0.4086  0.6067
O  0.8610  0.7682  0.0826

---

12.
Structure and calculated powder diffraction line list of CrSiC (the PBE geometry in Alexandria; Cu Kα X-rays).
Peak positions follow from Bragg's law for the DFT cell and can differ from measured ones.

Most intense lines, 2θ = 10–90°, low angle first:
2theta, I/Imax
21.22, 43
39.70, 100
47.59, 48
55.53, 33
69.59, 14
83.21, 20

Cell and atoms:
Lattice parameters (Å, degrees): 2.7021 2.7021 4.1867 90.00 90.00 90.00
Fractional positions:
Cr  0.0000  0.0000  0.0000
Si  0.5000  0.5000  0.3738
C  0.5000  0.5000  0.8182

---

13.
Structure and calculated powder diffraction line list of Ac8Rh3S4Cl (the PBE geometry in Alexandria; Cu Kα X-rays).
Peak positions follow from Bragg's law for the DFT cell and can differ from measured ones.

Most intense lines, 2θ = 10–90°, low angle first:
2theta, I/Imax
25.30, 43
28.87, 100
40.33, 40
42.23, 36
51.96, 19
66.40, 18

Cell and atoms:
Lattice parameters (Å, degrees): 8.9630 8.9630 8.9630 57.05 57.05 57.05
Fractional positions:
Ac  0.2344  0.7544  0.7544
Ac  0.2444  0.2444  0.2444
Ac  0.2456  0.2456  0.7656
Ac  0.2456  0.7656  0.2456
Ac  0.7544  0.2344  0.7544
Ac  0.7544  0.7544  0.2344
Ac  0.7556  0.7556  0.7556
Ac  0.7656  0.2456  0.2456
Rh  0.0000  0.0000  0.5000
Rh  0.0000  0.5000  0.0000
Rh  0.5000  0.0000  0.0000
S  0.0000  0.0000  0.0000
S  0.0000  0.5000  0.5000
S  0.5000  0.0000  0.5000
S  0.5000  0.5000  0.0000
Cl  0.5000  0.5000  0.5000

---

14.
Structure and calculated powder diffraction line list of ErTm2Hg9 (the PBE geometry in Alexandria; Cu Kα X-rays).
Peak positions follow from Bragg's law for the DFT cell and can differ from measured ones.

Most intense lines, 2θ = 10–90°, low angle first:
2theta, I/Imax
33.94, 100
37.46, 19
40.34, 31
56.22, 24
65.34, 15
69.26, 26

Cell and atoms:
Lattice parameters (Å, degrees): 4.4719 4.4719 14.4064 90.00 90.00 90.00
Fractional positions:
Er  0.0000  0.0000  0.0000
Tm  0.0000  0.0000  0.3337
Tm  0.0000  0.0000  0.6663
Hg  0.0000  0.5000  0.1671
Hg  0.0000  0.5000  0.5000
Hg  0.0000  0.5000  0.8329
Hg  0.5000  0.0000  0.1671
Hg  0.5000  0.0000  0.5000
Hg  0.5000  0.0000  0.8329
Hg  0.5000  0.5000  0.0000
Hg  0.5000  0.5000  0.3334
Hg  0.5000  0.5000  0.6666